Calculated XRD peak list
Compound: K2CuNiO4
Radiation: Cu Kα X-rays
Structure: a structure optimized by DFT (PBE+U)
Intensities are scaled so that the largest is 100.

Largest 12 diffraction maxima, low angle first, 2θ = 10–90°:
2θ/deg, I (rel.)
16.6, 100
19.5, 75
23.0, 21
27.0, 32
30.0, 12
32.5, 81
35.9, 38
44.4, 21
44.9, 13
53.2, 41
53.7, 24
57.7, 12

Crystal structure
```
K2CuNiO4
1.0
0.000 6.600 9.106
2.705 0.000 9.106
2.705 6.600 0.000
K Cu Ni O
4 2 2 8
Direct
0.045 0.045 0.705 K
0.295 0.295 0.955 K
0.705 0.705 0.045 K
0.955 0.955 0.295 K
0.125 0.125 0.125 Cu
0.875 0.875 0.875 Cu
0.375 0.375 0.375 Ni
0.625 0.625 0.625 Ni
0.030 0.715 0.533 O
0.223 0.533 0.715 O
0.285 0.970 0.777 O
0.467 0.777 0.970 O
0.533 0.223 0.030 O
0.715 0.030 0.223 O
0.777 0.467 0.285 O
0.970 0.285 0.467 O
```